Diffraction record for Na10B11C9. The X-ray diffraction stick pattern is calculated, not measured: it uses a cell relaxed with PBE and Cu Kα (weighted mean of Kα1 and Kα2).
Kinematic intensities with the Lorentz-polarization factor, no thermal factor.

Main lines, low angle first (10 to 80 degrees two-theta):
36.40 deg, d = 2.468 Å, intensity 8.9; 36.62 deg, d = 2.454 Å, intensity 17.3; 42.42 deg, d = 2.131 Å, intensity 50.3; 42.62 deg, d = 2.122 Å, intensity 100.0; 42.84 deg, d = 2.111 Å, intensity 38.8; 57.60 deg, d = 1.600 Å, intensity 9.7; 65.64 deg, d = 1.422 Å, intensity 17.1; 66.08 deg, d = 1.414 Å, intensity 8.5; 78.19 deg, d = 1.222 Å, intensity 6.2; 78.33 deg, d = 1.221 Å, intensity 12.5

abc: 8.443 12.423 12.423
angles: 13.07 90.00 90.00
Fractional coordinates of all 30 atoms:
Na1 0.248 0.000 0.000
Na2 0.251 0.200 0.200
Na3 0.251 0.400 0.400
Na4 0.251 0.600 0.600
Na5 0.251 0.800 0.800
Na6 0.749 0.200 0.200
Na7 0.749 0.400 0.400
Na8 0.749 0.600 0.600
Na9 0.749 0.800 0.800
Na10 0.752 0.000 0.000
B1 0.000 0.136 0.136
B2 0.000 0.331 0.331
B3 0.000 0.467 0.467
B4 0.000 0.539 0.539
B5 0.000 0.733 0.733
B6 0.000 0.927 0.927
B7 0.500 0.066 0.066
B8 0.500 0.267 0.267
B9 0.500 0.466 0.466
B10 0.500 0.667 0.667
B11 0.500 0.867 0.867
C1 0.000 0.070 0.070
C2 0.000 0.265 0.265
C3 0.000 0.668 0.668
C4 0.000 0.863 0.863
C5 0.500 0.133 0.133
C6 0.500 0.333 0.333
C7 0.500 0.533 0.533
C8 0.500 0.733 0.733
C9 0.500 0.933 0.933